1.
Starting from the GGA-PBE geometry in Alexandria, the X-ray diffraction stick pattern of NaGa4Sn2 was calculated for Cu Kα (λ = 1.5418 Å).
Peak positions follow from Bragg's law for the DFT cell and can differ from measured ones.

```
NaGa4Sn2
1.0
2.5327 -7.8848 0.0000
2.5327 7.8848 0.0000
0.0000 0.0000 4.3340
Na Ga Sn
1 4 2
direct
0.0000 0.0000 0.0000 Na
0.1815 0.8185 0.5000 Ga
0.2880 0.7120 0.0000 Ga
0.7120 0.2880 0.0000 Ga
0.8185 0.1815 0.5000 Ga
0.4058 0.5942 0.5000 Sn
0.5942 0.4058 0.5000 Sn
```

Most intense lines, 15° ≤ 2θ ≤ 90°, low angle first:
18.40 deg, rel. 34
20.49 deg, rel. 28
30.66 deg, rel. 41
32.07 deg, rel. 36
35.44 deg, rel. 47
39.57 deg, rel. 100
41.68 deg, rel. 30
55.83 deg, rel. 25

***

2.
Starting from the GGA-PBE geometry in Alexandria, the X-ray diffraction stick pattern of Na2Ga2Sn3 was calculated for Cu Kα (λ = 1.5418 Å).
Peak positions follow from Bragg's law for the DFT cell and can differ from measured ones.

```
Na2Ga2Sn3
1.0
2.6357 -10.1356 0.0000
2.6357 10.1356 0.0000
0.0000 0.0000 7.0615
Na Ga Sn
4 4 6
direct
0.0342 0.9658 0.7500 Na
0.1507 0.8493 0.2500 Na
0.8493 0.1507 0.7500 Na
0.9658 0.0342 0.2500 Na
0.2984 0.7016 0.0535 Ga
0.2984 0.7016 0.4465 Ga
0.7016 0.2984 0.5535 Ga
0.7016 0.2984 0.9465 Ga
0.2054 0.7946 0.7500 Sn
0.4304 0.5696 0.5463 Sn
0.4304 0.5696 0.9537 Sn
0.5696 0.4304 0.0463 Sn
0.5696 0.4304 0.4537 Sn
0.7946 0.2054 0.2500 Sn
```

Most intense lines, 15° ≤ 2θ ≤ 90°, low angle first:
17.38 deg, rel. 85
21.56 deg, rel. 71
30.80 deg, rel. 100
34.01 deg, rel. 71
35.40 deg, rel. 66
43.94 deg, rel. 77
44.22 deg, rel. 48
66.88 deg, rel. 28

***

3.
Starting from the GGA-PBE geometry in Alexandria, the X-ray diffraction stick pattern of Na2Ga3Sn was calculated for Cu Kα (λ = 1.5418 Å).
Peak positions follow from Bragg's law for the DFT cell and can differ from measured ones.

```
Na2Ga3Sn
1.0
0.0000 4.6105 8.0175
3.7334 0.0000 8.0175
3.7334 4.6105 0.0000
Na Ga Sn
4 6 2
direct
0.2480 0.7520 0.7520 Na
0.2500 0.2500 0.2500 Na
0.7500 0.7500 0.7500 Na
0.7520 0.2480 0.2480 Na
0.1784 0.6618 0.3382 Ga
0.3382 0.8216 0.1784 Ga
0.3390 0.3390 0.6610 Ga
0.6610 0.6610 0.3390 Ga
0.6618 0.1784 0.8216 Ga
0.8216 0.3382 0.6618 Ga
0.1659 0.1659 0.8341 Sn
0.8341 0.8341 0.1659 Sn
```

Most intense lines, 15° ≤ 2θ ≤ 90°, low angle first:
22.22 deg, rel. 40
23.83 deg, rel. 66
32.81 deg, rel. 100
38.95 deg, rel. 65
39.07 deg, rel. 32
46.18 deg, rel. 45
46.29 deg, rel. 22
64.14 deg, rel. 43